Diffraction record for Rb2Zr3AgO8. The X-ray powder pattern is theoretical, not measured: it uses a cell relaxed with PBE and a wavelength of 1.5418 Å.

Structural model:
a = 6.6072 Å, b = 6.6072 Å, c = 20.6876 Å
α = 90.00°, β = 90.00°, γ = 120.00°
Space group R3m (No. 160, hexagonal axes)
Asymmetric unit:
Rb: 0.0000 0.0000 0.0000 [3 per cell]
Rb: 0.0000 0.0000 0.3613 [3 per cell]
Zr: 0.1689 0.3378 0.8308 [9 per cell]
Ag: 0.0000 0.0000 0.5584 [3 per cell]
O: 0.0000 0.0000 0.2192 [3 per cell]
O: 0.0000 0.0000 0.7821 [3 per cell]
O: 0.0323 0.5162 0.7818 [9 per cell]
O: 0.1870 0.3740 0.5563 [9 per cell]

The 12 most intense peaks (15° ≤ 2θ ≤ 90°), sorted by position:
2θ 23.18, d = 3.837 Å, rel. 41, (1 0 4); 2θ 25.84, d = 3.448 Å, rel. 37, (0 0 6); 2θ 26.59, d = 3.353 Å, rel. 100, (0 1 5); 2θ 26.99, d = 3.304 Å, rel. 39, (1 1 0); 2θ 29.99, d = 2.979 Å, rel. 68, (1 1 3); 2θ 31.57, d = 2.834 Å, rel. 74, (0 2 1); 2θ 32.47, d = 2.757 Å, rel. 62, (2 0 2); 2θ 35.87, d = 2.503 Å, rel. 80, (0 2 4); 2θ 37.71, d = 2.385 Å, rel. 27, (1 1 6); 2θ 47.42, d = 1.917 Å, rel. 67, (2 0 8); 2θ 48.23, d = 1.887 Å, rel. 37, (1 1 9); 2θ 55.64, d = 1.652 Å, rel. 57, (2 2 0)